# Sr2MgCuI2O2
Calculated powder diffraction line list, Cu Kα. Input: DFT lattice parameters and positions (GGA-PBE).
No peak broadening, texture or thermal motion is included.

Peak list (6 most intense, 10° ≤ 2θ ≤ 80°, most intense first)
- 2θ 32.1, I 1000
- 2θ 31.1, I 513
- 2θ 24.1, I 443
- 2θ 56.0, I 397
- 2θ 37.4, I 365
- 2θ 44.6, I 300

Structural model:
```
Sr2MgCuI2O2
1.0
-2.031 2.031 13.400
2.031 -2.031 13.400
2.031 2.031 -13.400
Sr Mg Cu I O
2 1 1 2 2
Direct
0.060 0.060 0.000 Sr
0.940 0.940 0.000 Sr
0.250 0.750 0.500 Mg
0.500 0.500 0.000 Cu
0.368 0.368 0.000 I
0.632 0.632 0.000 I
0.000 0.500 0.500 O
0.500 0.000 0.500 O
```

---

# Rb2CuMoI6
Calculated powder diffraction line list, Cu Kα. Input: DFT lattice parameters and positions (GGA-PBE).
No peak broadening, texture or thermal motion is included.

Peak list (6 most intense, 10° ≤ 2θ ≤ 80°, most intense first)
- 2θ 31.2, I 1000
- 2θ 27.0, I 940
- 2θ 44.8, I 725
- 2θ 53.0, I 423
- 2θ 74.0, I 321
- 2θ 15.5, I 281

Structural model:
```
Rb2CuMoI6
1.0
0.000 5.726 5.726
5.726 0.000 5.726
5.726 5.726 0.000
Rb Cu Mo I
2 1 1 6
Direct
0.250 0.250 0.250 Rb
0.750 0.750 0.750 Rb
0.000 0.000 0.000 Cu
0.500 0.500 0.500 Mo
0.252 0.252 0.748 I
0.252 0.748 0.252 I
0.252 0.748 0.748 I
0.748 0.252 0.252 I
0.748 0.252 0.748 I
0.748 0.748 0.252 I
```

---

# CuI4N4
Calculated powder diffraction line list, Cu Kα. Input: DFT lattice parameters and positions (GGA-PBE).
No peak broadening, texture or thermal motion is included.

Peak list (6 most intense, 10° ≤ 2θ ≤ 80°, most intense first)
- 2θ 23.5, I 1000
- 2θ 26.1, I 713
- 2θ 32.9, I 684
- 2θ 29.0, I 521
- 2θ 39.4, I 366
- 2θ 46.8, I 326

Structural model:
```
CuI4N4
1.0
5.345 -3.078 0.000
5.345 3.078 0.000
-2.914 0.000 6.822
Cu I N
1 4 4
Direct
0.000 0.000 0.000 Cu
0.264 0.264 0.922 I
0.380 0.380 0.528 I
0.620 0.620 0.472 I
0.736 0.736 0.078 I
0.077 0.680 0.043 N
0.320 0.923 0.957 N
0.680 0.077 0.043 N
0.923 0.320 0.957 N
```

---

# NaCuI2O4
Calculated powder diffraction line list, Cu Kα. Input: DFT lattice parameters and positions (GGA-PBE).
No peak broadening, texture or thermal motion is included.

Peak list (6 most intense, 10° ≤ 2θ ≤ 80°, most intense first)
- 2θ 11.0, I 1000
- 2θ 25.5, I 606
- 2θ 29.9, I 540
- 2θ 21.5, I 383
- 2θ 33.3, I 325
- 2θ 30.7, I 263

Structural model:
```
NaCuI2O4
1.0
5.747 -5.825 0.000
5.747 5.825 0.000
-1.195 0.000 5.301
Na Cu I O
2 2 4 8
Direct
0.134 0.866 0.750 Na
0.866 0.134 0.250 Na
0.494 0.506 0.250 Cu
0.506 0.494 0.750 Cu
0.226 0.500 0.443 I
0.500 0.226 0.943 I
0.500 0.774 0.057 I
0.774 0.500 0.557 I
0.005 0.721 0.065 O
0.069 0.189 0.777 O
0.189 0.069 0.277 O
0.279 0.995 0.435 O
0.721 0.005 0.565 O
0.811 0.931 0.723 O
0.931 0.811 0.223 O
0.995 0.279 0.935 O
```

---

# NaCuSI
Calculated powder diffraction line list, Cu Kα. Input: DFT lattice parameters and positions (GGA-PBE).
No peak broadening, texture or thermal motion is included.

Peak list (6 most intense, 10° ≤ 2θ ≤ 80°, most intense first)
- 2θ 31.8, I 1000
- 2θ 15.6, I 789
- 2θ 45.4, I 718
- 2θ 31.5, I 514
- 2θ 35.6, I 433
- 2θ 56.5, I 363

Structural model:
```
NaCuSI
1.0
3.979 0.000 0.000
0.000 3.979 0.000
0.000 0.000 5.681
Na Cu S I
1 1 1 1
Direct
0.000 0.000 0.000 Na
0.500 0.500 0.500 Cu
0.500 0.500 0.000 S
0.000 0.000 0.500 I
```

---

# Cu2IO3
Calculated powder diffraction line list, Cu Kα. Input: DFT lattice parameters and positions (GGA-PBE).
No peak broadening, texture or thermal motion is included.

Peak list (6 most intense, 10° ≤ 2θ ≤ 80°, most intense first)
- 2θ 30.0, I 1000
- 2θ 21.9, I 906
- 2θ 24.7, I 896
- 2θ 34.7, I 690
- 2θ 31.7, I 600
- 2θ 37.6, I 517

Structural model:
```
Cu2IO3
1.0
5.858 0.000 0.000
0.000 5.752 0.000
-1.263 0.000 5.948
Cu I O
4 2 6
Direct
0.000 0.000 0.000 Cu
0.000 0.500 0.000 Cu
0.498 0.250 0.996 Cu
0.502 0.750 0.004 Cu
0.218 0.750 0.508 I
0.782 0.250 0.492 I
0.014 0.250 0.787 O
0.326 0.002 0.081 O
0.326 0.498 0.081 O
0.674 0.502 0.919 O
0.674 0.998 0.919 O
0.986 0.750 0.213 O
```

---

# Sr2Cu3I2O4
Calculated powder diffraction line list, Cu Kα. Input: DFT lattice parameters and positions (GGA-PBE).
No peak broadening, texture or thermal motion is included.

Peak list (6 most intense, 10° ≤ 2θ ≤ 80°, most intense first)
- 2θ 30.2, I 1000
- 2θ 16.4, I 694
- 2θ 31.5, I 678
- 2θ 20.3, I 474
- 2θ 45.1, I 363
- 2θ 55.3, I 358

Structural model:
```
Sr2Cu3I2O4
1.0
-2.842 2.842 8.741
2.842 -2.842 8.741
2.842 2.842 -8.741
Sr Cu I O
2 3 2 4
Direct
0.149 0.149 0.000 Sr
0.851 0.851 0.000 Sr
0.000 0.000 0.000 Cu
0.000 0.500 0.500 Cu
0.500 0.000 0.500 Cu
0.250 0.750 0.500 I
0.750 0.250 0.500 I
0.229 0.229 0.457 O
0.229 0.771 0.000 O
0.771 0.229 0.000 O
0.771 0.771 0.543 O
```